(1)
Structure and calculated X-ray diffraction stick pattern of Li8CdRh2 (a crystal structure in Alexandria, relaxed with GGA-PBE; CuKα).

Structural model:
abc: 6.646 6.646 4.316
angles: 90.00 90.00 105.02
Fractional positions:
Li1 0.150 0.150 0.000
Li2 0.177 0.460 0.500
Li3 0.236 0.764 0.000
Li4 0.460 0.177 0.500
Li5 0.540 0.823 0.500
Li6 0.764 0.236 0.000
Li7 0.823 0.540 0.500
Li8 0.850 0.850 0.000
Cd1 0.500 0.500 0.000
Rh1 0.121 0.879 0.500
Rh2 0.879 0.121 0.500

Largest 8 diffraction maxima, low angle first, 10 to 90 degrees two-theta:
2θ/deg, Rel. int.
21.98, 53
24.86, 100
27.67, 34
40.07, 28
40.36, 35
42.24, 15
46.17, 29
50.93, 15

(2)
Structure and calculated X-ray diffraction stick pattern of LiCd2Ru (a crystal structure in Alexandria, relaxed with GGA-PBE; CuKα).

Structural model:
abc: 4.552 4.552 3.269
angles: 90.00 90.00 90.07
Fractional positions:
Li1 0.000 0.000 0.000
Cd1 0.000 0.500 0.500
Cd2 0.500 0.000 0.500
Ru1 0.500 0.500 0.000

Largest 8 diffraction maxima, low angle first, 10 to 90 degrees two-theta:
2θ/deg, Rel. int.
19.50, 26
27.71, 16
33.75, 13
39.28, 100
39.60, 49
57.24, 16
70.99, 16
71.63, 32

(3)
Structure and calculated X-ray diffraction stick pattern of Li4CdS3 (a crystal structure in Alexandria, relaxed with GGA-PBE; CuKα).

Structural model:
abc: 7.303 7.303 8.302
angles: 111.55 111.55 51.43
Fractional positions:
Li1 0.154 0.846 0.500
Li2 0.290 0.980 0.915
Li3 0.367 0.788 0.220
Li4 0.582 0.917 0.630
Li5 0.788 0.367 0.720
Li6 0.846 0.154 0.000
Li7 0.917 0.582 0.130
Li8 0.980 0.290 0.415
Cd1 0.219 0.556 0.795
Cd2 0.556 0.219 0.295
S1 0.203 0.208 0.714
S2 0.208 0.203 0.214
S3 0.569 0.575 0.469
S4 0.575 0.569 0.969
S5 0.911 0.946 0.695
S6 0.946 0.911 0.195

Largest 8 diffraction maxima, low angle first, 10 to 90 degrees two-theta:
2θ/deg, Rel. int.
14.74, 72
17.80, 100
21.43, 66
22.04, 85
23.47, 48
24.83, 49
25.75, 73
31.88, 51

(4)
Structure and calculated X-ray diffraction stick pattern of LiCd2S (a crystal structure in Alexandria, relaxed with GGA-PBE; CuKα).

Structural model:
abc: 6.805 6.805 6.805
angles: 96.96 96.96 139.24
Fractional positions:
Li1 0.000 0.000 0.000
Li2 0.750 0.250 0.500
Cd1 0.208 0.625 0.083
Cd2 0.375 0.458 0.583
Cd3 0.542 0.125 0.917
Cd4 0.875 0.792 0.417
S1 0.250 0.750 0.500
S2 0.500 0.500 0.000

Largest 8 diffraction maxima, low angle first, 10 to 90 degrees two-theta:
2θ/deg, Rel. int.
19.68, 100
21.18, 60
27.98, 59
29.07, 99
31.36, 35
40.62, 73
40.78, 97
45.67, 39

(5)
Structure and calculated X-ray diffraction stick pattern of LiScCd3 (a crystal structure in Alexandria, relaxed with GGA-PBE; CuKα).

Structural model:
abc: 6.710 6.710 5.327
angles: 90.00 90.00 120.00
Fractional positions:
Li1 0.000 0.000 0.000
Li2 0.000 0.000 0.500
Sc1 0.333 0.667 0.250
Sc2 0.667 0.333 0.750
Cd1 0.189 0.378 0.750
Cd2 0.189 0.811 0.750
Cd3 0.378 0.189 0.250
Cd4 0.622 0.811 0.750
Cd5 0.811 0.189 0.250
Cd6 0.811 0.622 0.250

Largest 8 diffraction maxima, low angle first, 10 to 90 degrees two-theta:
2θ/deg, Rel. int.
22.64, 28
30.77, 23
33.65, 28
35.18, 100
46.24, 16
54.72, 14
61.17, 19
65.79, 14

(6)
Structure and calculated X-ray diffraction stick pattern of LiScCd (a crystal structure in Alexandria, relaxed with GGA-PBE; CuKα).

Structural model:
abc: 3.310 4.706 8.224
angles: 90.00 90.00 90.00
Fractional positions:
Li1 0.250 0.250 0.037
Li2 0.750 0.750 0.963
Sc1 0.250 0.750 0.619
Sc2 0.750 0.250 0.381
Cd1 0.250 0.750 0.253
Cd2 0.750 0.250 0.747

Largest 8 diffraction maxima, low angle first, 10 to 90 degrees two-theta:
2θ/deg, Rel. int.
21.61, 70
21.76, 82
29.08, 43
33.09, 100
37.98, 67
38.25, 38
39.87, 69
42.83, 43

(7)
Structure and calculated X-ray diffraction stick pattern of LiSc2Cd6 (a crystal structure in Alexandria, relaxed with GGA-PBE; CuKα).

Structural model:
abc: 6.994 6.994 4.641
angles: 90.00 90.00 119.51
Fractional positions:
Li1 0.000 0.000 0.000
Sc1 0.227 0.773 0.500
Sc2 0.773 0.227 0.500
Cd1 0.158 0.434 0.000
Cd2 0.250 0.250 0.500
Cd3 0.434 0.158 0.000
Cd4 0.566 0.842 0.000
Cd5 0.750 0.750 0.500
Cd6 0.842 0.566 0.000

Largest 8 diffraction maxima, low angle first, 10 to 90 degrees two-theta:
2θ/deg, Rel. int.
24.16, 31
25.28, 60
29.35, 19
35.27, 55
35.46, 100
38.80, 44
44.05, 55
46.88, 22

(8)
Structure and calculated X-ray diffraction stick pattern of LiScCd5 (a crystal structure in Alexandria, relaxed with GGA-PBE; CuKα).

Structural model:
abc: 5.143 5.143 6.365
angles: 90.00 90.00 105.04
Fractional positions:
Li1 0.000 0.000 0.000
Sc1 0.500 0.500 0.500
Cd1 0.000 0.500 0.259
Cd2 0.000 0.500 0.741
Cd3 0.500 0.000 0.259
Cd4 0.500 0.000 0.741
Cd5 0.500 0.500 0.000

Largest 8 diffraction maxima, low angle first, 10 to 90 degrees two-theta:
2θ/deg, Rel. int.
17.86, 36
21.77, 40
35.78, 100
36.17, 98
40.42, 71
44.39, 27
61.58, 38
70.98, 25

(9)
Structure and calculated X-ray diffraction stick pattern of Li2ScCd9 (a crystal structure in Alexandria, relaxed with GGA-PBE; CuKα).

Structural model:
abc: 4.391 4.391 13.120
angles: 90.00 90.00 90.00
Fractional positions:
Li1 0.000 0.000 0.166
Li2 0.000 0.000 0.834
Sc1 0.000 0.000 0.500
Cd1 0.000 0.500 0.000
Cd2 0.000 0.500 0.327
Cd3 0.000 0.500 0.673
Cd4 0.500 0.000 0.000
Cd5 0.500 0.000 0.327
Cd6 0.500 0.000 0.673
Cd7 0.500 0.500 0.161
Cd8 0.500 0.500 0.500
Cd9 0.500 0.500 0.839

Largest 8 diffraction maxima, low angle first, 10 to 90 degrees two-theta:
2θ/deg, Rel. int.
20.25, 22
28.79, 18
35.45, 100
41.11, 33
41.29, 16
59.68, 20
71.25, 24
71.49, 11

(10)
Structure and calculated X-ray diffraction stick pattern of LiTmSc2Cd4 (a crystal structure in Alexandria, relaxed with GGA-PBE; CuKα).

Structural model:
abc: 8.721 8.721 8.721
angles: 33.36 33.36 33.36
Fractional positions:
Li1 0.000 0.000 0.000
Tm1 0.500 0.500 0.500
Sc1 0.250 0.250 0.250
Sc2 0.750 0.750 0.750
Cd1 0.118 0.118 0.118
Cd2 0.372 0.372 0.372
Cd3 0.628 0.628 0.628
Cd4 0.882 0.882 0.882

Largest 8 diffraction maxima, low angle first, 10 to 90 degrees two-theta:
2θ/deg, Rel. int.
10.75, 19
20.80, 18
25.10, 18
35.71, 97
35.87, 100
51.52, 33
64.36, 33
64.46, 17

(11)
Structure and calculated X-ray diffraction stick pattern of LiZrScCd (a crystal structure in Alexandria, relaxed with GGA-PBE; CuKα).

Structural model:
abc: 4.925 4.925 4.925
angles: 60.00 60.00 60.00
Fractional positions:
Li1 0.000 0.000 0.000
Zr1 0.250 0.250 0.250
Sc1 0.750 0.750 0.750
Cd1 0.500 0.500 0.500

Largest 8 diffraction maxima, low angle first, 10 to 90 degrees two-theta:
2θ/deg, Rel. int.
22.10, 52
36.49, 100
43.07, 27
52.55, 17
57.69, 11
65.67, 33
77.52, 10
88.85, 15

(12)
Structure and calculated X-ray diffraction stick pattern of LiZrScCd (a crystal structure in Alexandria, relaxed with GGA-PBE; CuKα).

Structural model:
abc: 9.570 9.570 9.570
angles: 161.18 161.18 26.74
Fractional positions:
Li1 0.000 0.000 0.000
Zr1 0.838 0.838 0.000
Sc1 0.223 0.223 0.000
Cd1 0.602 0.602 0.000

Largest 8 diffraction maxima, low angle first, 10 to 90 degrees two-theta:
2θ/deg, Rel. int.
19.07, 67
28.93, 47
32.02, 89
37.54, 100
40.77, 52
45.37, 28
57.46, 31
72.08, 27

(13)
Structure and calculated X-ray diffraction stick pattern of Li2CdSiSe4 (a crystal structure in Alexandria, relaxed with GGA-PBE; CuKα).

Structural model:
abc: 8.109 7.217 6.765
angles: 90.00 90.00 90.00
Fractional positions:
Li1 0.245 0.175 0.000
Li2 0.255 0.825 0.500
Li3 0.745 0.825 0.500
Li4 0.755 0.175 0.000
Cd1 0.000 0.356 0.495
Cd2 0.500 0.644 0.995
Si1 0.000 0.676 0.996
Si2 0.500 0.324 0.496
Se1 0.000 0.373 0.894
Se2 0.000 0.694 0.336
Se3 0.226 0.834 0.879
Se4 0.274 0.166 0.379
Se5 0.500 0.306 0.836
Se6 0.500 0.627 0.394
Se7 0.726 0.166 0.379
Se8 0.774 0.834 0.879

Largest 8 diffraction maxima, low angle first, 10 to 90 degrees two-theta:
2θ/deg, Rel. int.
17.97, 56
25.19, 100
26.35, 87
28.02, 45
28.49, 89
43.76, 64
47.84, 64
51.79, 48

(14)
Structure and calculated X-ray diffraction stick pattern of Li4U3CdSe8 (a crystal structure in Alexandria, relaxed with GGA-PBE; CuKα).

Structural model:
abc: 8.062 8.062 8.062
angles: 59.87 59.87 59.87
Fractional positions:
Li1 0.000 0.000 0.000
Li2 0.000 0.500 0.500
Li3 0.500 0.000 0.500
Li4 0.500 0.500 0.000
U1 0.000 0.000 0.500
U2 0.000 0.500 0.000
U3 0.500 0.000 0.000
Cd1 0.500 0.500 0.500
Se1 0.247 0.247 0.748
Se2 0.247 0.748 0.247
Se3 0.252 0.753 0.753
Se4 0.253 0.253 0.253
Se5 0.747 0.747 0.747
Se6 0.748 0.247 0.247
Se7 0.753 0.252 0.753
Se8 0.753 0.753 0.252

Largest 8 diffraction maxima, low angle first, 10 to 90 degrees two-theta:
2θ/deg, Rel. int.
13.44, 66
25.97, 50
31.42, 100
34.31, 27
41.13, 18
45.02, 74
55.97, 19
83.14, 20